Simulated X-ray powder pattern of Mn3In2N4 for Cu Kα, from DFT lattice parameters and positions (GGA-PBE).

Principal peaks in the range 2θ = 10–80°, sorted by position:
2theta	I (rel.)
25.55	17.9
29.24	100.0
30.02	47.5
34.21	37.0
37.51	17.1
40.07	18.9
46.54	23.9
47.42	20.0
59.54	16.1
62.45	14.0

abc: 7.3312 7.3312 6.0102
angles: 107.93 107.93 59.52
Positions (direct):
Mn (0.0272, 0.2766, 0.0989)
Mn (0.1829, 0.8171, 0.7500)
Mn (0.2766, 0.0272, 0.5989)
Mn (0.7234, 0.9728, 0.4011)
Mn (0.8171, 0.1829, 0.2500)
Mn (0.9728, 0.7234, 0.9011)
In (0.2564, 0.4931, 0.3006)
In (0.4931, 0.2564, 0.8006)
In (0.5069, 0.7436, 0.1994)
In (0.7436, 0.5069, 0.6994)
N (0.1000, 0.1507, 0.3522)
N (0.1507, 0.1000, 0.8522)
N (0.2667, 0.6295, 0.9626)
N (0.3705, 0.7333, 0.5374)
N (0.6295, 0.2667, 0.4626)
N (0.7333, 0.3705, 0.0374)
N (0.8493, 0.9000, 0.1478)
N (0.9000, 0.8493, 0.6478)


Simulated X-ray powder pattern of Mn2InN2 for Cu Kα, from DFT lattice parameters and positions (GGA-PBE).

Principal peaks in the range 2θ = 10–80°, sorted by position:
2theta	I (rel.)
24.03	31.4
34.37	100.0
34.47	49.6
36.39	29.8
40.46	39.8
40.67	18.6
49.33	19.5
57.39	22.2
59.95	24.0
68.45	12.1

abc: 3.2113 3.2113 7.4064
angles: 90.15 90.15 60.29
Positions (direct):
Mn (0.1664, 0.1664, 0.3857)
Mn (0.8336, 0.8336, 0.6143)
In (0.5000, 0.5000, 0.0000)
N (0.1680, 0.1680, 0.6519)
N (0.8320, 0.8320, 0.3481)


Simulated X-ray powder pattern of MnInNi2 for Cu Kα, from DFT lattice parameters and positions (GGA-PBE).

Principal peaks in the range 2θ = 10–80°, sorted by position:
2theta	I (rel.)
25.50	10.2
29.53	2.6
42.25	100.0
50.00	5.1
52.39	0.7
61.29	15.5
67.48	2.1
69.48	0.9
77.26	30.3

abc: 4.2778 4.2778 4.2778
angles: 60.00 60.00 60.00
Positions (direct):
Mn (0.0000, 0.0000, 0.0000)
In (0.5000, 0.5000, 0.5000)
Ni (0.2500, 0.2500, 0.2500)
Ni (0.7500, 0.7500, 0.7500)